[1]
The following is a calculated PXRD pattern of Hf7Au10. It was derived from a structure optimized by DFT (GGA-PBE), using a wavelength of 1.5418 Å.

Most intense lines, 15 to 90 degrees two-theta, sorted by position:
2θ/deg, I_rel
35.04, 73
36.35, 42
37.19, 100
38.84, 28
39.24, 24
43.83, 25

Cell and atoms:
```
Hf7Au10
1.0
6.697 -4.937 0.000
6.697 4.937 0.000
0.000 0.000 9.897
Hf Au
14 20
direct
0.000 0.000 0.000
0.006 0.494 0.250
0.187 0.813 0.689
0.190 0.190 0.500
0.310 0.310 0.000
0.313 0.687 0.189
0.494 0.006 0.750
0.500 0.500 0.500
0.506 0.994 0.250
0.687 0.313 0.811
0.690 0.690 0.000
0.810 0.810 0.500
0.813 0.187 0.311
0.994 0.506 0.750
0.059 0.647 0.999
0.105 0.895 0.398
0.143 0.150 0.792
0.147 0.559 0.499
0.150 0.143 0.208
0.350 0.357 0.708
0.353 0.941 0.999
0.357 0.350 0.292
0.395 0.605 0.898
0.441 0.853 0.499
0.559 0.147 0.501
0.605 0.395 0.102
0.643 0.650 0.708
0.647 0.059 0.001
0.650 0.643 0.292
0.850 0.857 0.792
0.853 0.441 0.501
0.857 0.850 0.208
0.895 0.105 0.602
0.941 0.353 0.001
```

***

[2]
The following is a calculated PXRD pattern of HoHfTcAu. It was derived from a structure optimized by DFT (GGA-PBE), using a wavelength of 1.5418 Å.

Most intense lines, 15 to 90 degrees two-theta, sorted by position:
2θ/deg, I_rel
22.62, 5
37.35, 100
44.11, 3
53.85, 18
67.37, 36
79.65, 11

Cell and atoms:
```
HoHfTcAu
1.0
0.000 3.405 3.405
3.405 0.000 3.405
3.405 3.405 0.000
Ho Hf Tc Au
1 1 1 1
direct
0.000 0.000 0.000
0.500 0.500 0.500
0.750 0.750 0.750
0.250 0.250 0.250
```

***

[3]
The following is a calculated PXRD pattern of HfIn3Au. It was derived from a structure optimized by DFT (GGA-PBE), using a wavelength of 1.5418 Å.

Most intense lines, 15 to 90 degrees two-theta, sorted by position:
2θ/deg, I_rel
24.12, 61
29.65, 41
34.37, 100
42.42, 29
49.39, 71
82.69, 32

Cell and atoms:
```
HfIn3Au
1.0
5.219 0.000 0.000
0.000 5.219 0.000
0.000 0.000 5.219
Hf In Au
1 3 1
direct
0.000 0.000 0.000
0.000 0.500 0.500
0.500 0.000 0.500
0.500 0.500 0.000
0.500 0.500 0.500
```

***

[4]
The following is a calculated PXRD pattern of LiHfInAu. It was derived from a structure optimized by DFT (GGA-PBE), using a wavelength of 1.5418 Å.

Most intense lines, 15 to 90 degrees two-theta, sorted by position:
2θ/deg, I_rel
30.33, 38
37.52, 100
39.37, 47
56.90, 16
66.44, 15
70.17, 32

Cell and atoms:
```
LiHfInAu
1.0
3.236 0.000 0.000
0.000 3.236 0.000
0.000 0.000 7.137
Li Hf In Au
1 1 1 1
direct
0.000 0.000 0.000
0.000 0.000 0.541
0.500 0.500 0.245
0.500 0.500 0.794
```

***

[5]
The following is a calculated PXRD pattern of HfInNiAu. It was derived from a structure optimized by DFT (GGA-PBE), using a wavelength of 1.5418 Å.

Most intense lines, 15 to 90 degrees two-theta, sorted by position:
2θ/deg, I_rel
23.47, 16
38.80, 100
45.84, 9
56.03, 17
70.24, 35
83.26, 11

Cell and atoms:
```
HfInNiAu
1.0
0.000 3.282 3.282
3.282 0.000 3.282
3.282 3.282 0.000
Hf In Ni Au
1 1 1 1
direct
0.000 0.000 0.000
0.500 0.500 0.500
0.250 0.250 0.250
0.750 0.750 0.750
```

***

[6]
The following is a calculated PXRD pattern of HfZrInAu. It was derived from a structure optimized by DFT (GGA-PBE), using a wavelength of 1.5418 Å.

Most intense lines, 15 to 90 degrees two-theta, sorted by position:
2θ/deg, I_rel
35.70, 100
40.78, 35
42.79, 14
59.04, 12
60.59, 21
70.95, 27

Cell and atoms:
```
HfZrInAu
1.0
3.129 0.000 0.000
0.000 3.129 0.000
0.000 0.000 8.454
Hf Zr In Au
1 1 1 1
direct
0.000 0.000 0.000
0.000 0.000 0.526
0.500 0.500 0.262
0.500 0.500 0.769
```